No. 1
For LiFeHSO5, DFT lattice parameters and positions (PBE+U) gives the simulated XRD peak list in this record (Cu Kα (λ = 1.5418 Å)).

Cell and atoms:
Cell: 9.855 5.564 7.539 Å, 90.00 110.50 90.00°
Space group P2_1/c (No. 14)
One atom of each set of equivalent atoms:
Li: 0.085 0.063 0.312 (multiplicity 4)
Fe: 0.445 0.237 0.373 (multiplicity 4)
H: 0.332 0.001 0.593 (multiplicity 4)
S: 0.211 0.561 0.507 (multiplicity 4)
O: 0.097 0.080 0.862 (multiplicity 4)
O: 0.164 0.687 0.009 (multiplicity 4)
O: 0.240 0.052 0.197 (multiplicity 4)
O: 0.349 0.555 0.464 (multiplicity 4)
O: 0.430 0.073 0.627 (multiplicity 4)

The 6 most intense peaks (2θ from 10° to 90°), by intensity:
2θ 28.61, d = 3.120 Å, I = 100
2θ 31.13, d = 2.873 Å, I = 88
2θ 20.32, d = 4.371 Å, I = 68
2θ 25.07, d = 3.552 Å, I = 59
2θ 33.27, d = 2.693 Å, I = 58
2θ 29.97, d = 2.981 Å, I = 54

***

No. 2
For MgMn4O8, DFT lattice parameters and positions (PBE+U) gives the simulated XRD peak list in this record (Cu Kα (λ = 1.5418 Å)).

Cell and atoms:
Cell: 14.240 2.980 9.455 Å, 90.00 130.98 90.00°
Space group Cm (No. 8)
One atom of each set of equivalent atoms:
Mg: 0.000 0.000 0.000 (multiplicity 2)
Mn: 0.000 0.500 0.644 (multiplicity 2)
Mn: 0.193 0.000 0.009 (multiplicity 2)
Mn: 0.204 0.500 0.366 (multiplicity 2)
Mn: 0.484 0.500 0.295 (multiplicity 2)
O: 0.048 0.500 0.901 (multiplicity 2)
O: 0.122 0.000 0.754 (multiplicity 2)
O: 0.173 0.000 0.464 (multiplicity 2)
O: 0.197 0.000 0.221 (multiplicity 2)
O: 0.303 0.500 0.090 (multiplicity 2)
O: 0.386 0.500 0.562 (multiplicity 2)
O: 0.482 0.000 0.422 (multiplicity 2)
O: 0.498 0.000 0.148 (multiplicity 2)

The 6 most intense peaks (2θ from 10° to 90°), by intensity:
2θ 35.73, d = 2.513 Å, I = 100
2θ 12.40, d = 7.138 Å, I = 83
2θ 18.77, d = 4.727 Å, I = 83
2θ 12.54, d = 7.062 Å, I = 78
2θ 16.49, d = 5.375 Å, I = 77
2θ 33.34, d = 2.688 Å, I = 63

***

No. 3
For MgAg6Mo10O33, DFT lattice parameters and positions (PBE+U) gives the simulated XRD peak list in this record (Cu Kα (λ = 1.5418 Å)).

Cell and atoms:
Cell: 7.758 8.714 11.691 Å, 77.31 76.53 74.98°
Space group P1 (No. 1)
One atom of each set of equivalent atoms:
Mg: 0.000 0.000 0.000 (multiplicity 1)
Ag: 0.382 0.747 0.896 (multiplicity 1)
Ag: 0.489 0.389 0.941 (multiplicity 1)
Ag: 0.589 0.037 0.983 (multiplicity 1)
Ag: 0.637 0.813 0.437 (multiplicity 1)
Ag: 0.800 0.395 0.440 (multiplicity 1)
Ag: 0.943 0.954 0.504 (multiplicity 1)
Mo: 0.092 0.618 0.175 (multiplicity 1)
Mo: 0.201 0.167 0.219 (multiplicity 1)
Mo: 0.278 0.579 0.642 (multiplicity 1)
Mo: 0.333 0.389 0.371 (multiplicity 1)
Mo: 0.449 0.170 0.673 (multiplicity 1)
Mo: 0.593 0.623 0.167 (multiplicity 1)
Mo: 0.699 0.183 0.225 (multiplicity 1)
Mo: 0.842 0.583 0.701 (multiplicity 1)
Mo: 0.958 0.408 0.014 (multiplicity 1)
Mo: 0.984 0.206 0.734 (multiplicity 1)
O: 0.028 0.712 0.647 (multiplicity 1)
O: 0.036 0.230 0.944 (multiplicity 1)
O: 0.096 0.403 0.690 (multiplicity 1)
O: 0.117 0.389 0.313 (multiplicity 1)
O: 0.130 0.776 0.032 (multiplicity 1)
O: 0.164 0.028 0.350 (multiplicity 1)
O: 0.176 0.412 0.066 (multiplicity 1)
O: 0.239 0.083 0.720 (multiplicity 1)
O: 0.255 0.547 0.455 (multiplicity 1)
O: 0.294 0.052 0.105 (multiplicity 1)
O: 0.308 0.561 0.790 (multiplicity 1)
O: 0.353 0.567 0.199 (multiplicity 1)
O: 0.355 0.220 0.486 (multiplicity 1)
O: 0.392 0.730 0.565 (multiplicity 1)
O: 0.427 0.220 0.234 (multiplicity 1)
O: 0.472 0.385 0.608 (multiplicity 1)
O: 0.487 0.166 0.817 (multiplicity 1)
O: 0.561 0.741 0.276 (multiplicity 1)
O: 0.566 0.762 0.034 (multiplicity 1)
O: 0.596 0.393 0.316 (multiplicity 1)
O: 0.632 0.030 0.613 (multiplicity 1)
O: 0.646 0.711 0.768 (multiplicity 1)
O: 0.697 0.401 0.075 (multiplicity 1)
O: 0.731 0.048 0.358 (multiplicity 1)
O: 0.763 0.054 0.104 (multiplicity 1)
O: 0.776 0.377 0.783 (multiplicity 1)
O: 0.797 0.584 0.559 (multiplicity 1)
O: 0.860 0.573 0.140 (multiplicity 1)
O: 0.911 0.043 0.842 (multiplicity 1)
O: 0.932 0.559 0.888 (multiplicity 1)
O: 0.933 0.191 0.598 (multiplicity 1)
O: 0.955 0.230 0.189 (multiplicity 1)
O: 0.976 0.728 0.286 (multiplicity 1)

The 6 most intense peaks (2θ from 10° to 90°), by intensity:
2θ 28.90, d = 3.089 Å, I = 100
2θ 29.30, d = 3.049 Å, I = 74
2θ 27.44, d = 3.250 Å, I = 57
2θ 26.87, d = 3.318 Å, I = 56
2θ 31.96, d = 2.800 Å, I = 52
2θ 10.67, d = 8.294 Å, I = 50

***

No. 4
For Ba2SmCrO6, DFT lattice parameters and positions (PBE+U) gives the simulated XRD peak list in this record (Cu Kα (λ = 1.5418 Å)).

Cell and atoms:
Cell: 8.413 8.413 8.413 Å, 90.00 90.00 90.00°
Space group Pn-3 (No. 201, origin choice 2)
One atom of each set of equivalent atoms:
Ba: 0.250 0.250 0.250 (multiplicity 2)
Ba: 0.250 0.250 0.750 (multiplicity 6)
Sm: 0.000 0.000 0.000 (multiplicity 4)
Cr: 0.000 0.000 0.500 (multiplicity 4)
O: 0.011 0.512 0.773 (multiplicity 24)

The 6 most intense peaks (2θ from 10° to 90°), by intensity:
2θ 30.04, d = 2.974 Å, I = 100
2θ 53.35, d = 1.717 Å, I = 40
2θ 43.01, d = 2.103 Å, I = 30
2θ 86.59, d = 1.124 Å, I = 21
2θ 62.45, d = 1.487 Å, I = 18
2θ 70.84, d = 1.330 Å, I = 18

***

No. 5
For CaEuFeSbO6, DFT lattice parameters and positions (PBE+U) gives the simulated XRD peak list in this record (Cu Kα (λ = 1.5418 Å)).

Cell and atoms:
Cell: 7.991 7.991 7.991 Å, 90.00 90.00 90.00°
Space group F-43m (No. 216)
One atom of each set of equivalent atoms:
Ca: 0.000 0.000 0.000 (multiplicity 4)
Eu: 0.000 0.000 0.500 (multiplicity 4)
Fe: 0.250 0.250 0.250 (multiplicity 4)
Sb: 0.250 0.250 0.750 (multiplicity 4)
O: 0.001 0.250 0.750 (multiplicity 24)

The 6 most intense peaks (2θ from 10° to 90°), by intensity:
2θ 31.67, d = 2.825 Å, I = 100
2θ 56.41, d = 1.631 Å, I = 38
2θ 45.40, d = 1.998 Å, I = 34
2θ 19.24, d = 4.614 Å, I = 30
2θ 66.15, d = 1.413 Å, I = 20
2θ 37.32, d = 2.409 Å, I = 18

***

No. 6
For KUVO6, DFT lattice parameters and positions (PBE+U) gives the simulated XRD peak list in this record (Cu Kα (λ = 1.5418 Å)).

Cell and atoms:
Cell: 7.085 8.527 10.720 Å, 90.00 90.01 90.00°
Space group P2_1/c (No. 14)
One atom of each set of equivalent atoms:
K: 0.021 0.244 0.208 (multiplicity 4)
U: 0.499 0.514 0.181 (multiplicity 4)
V: 0.405 0.149 0.958 (multiplicity 4)
O: 0.174 0.140 0.970 (multiplicity 4)
O: 0.241 0.537 0.181 (multiplicity 4)
O: 0.242 0.511 0.815 (multiplicity 4)
O: 0.451 0.216 0.795 (multiplicity 4)
O: 0.478 0.157 0.511 (multiplicity 4)
O: 0.496 0.552 0.395 (multiplicity 4)

The 6 most intense peaks (2θ from 10° to 90°), by intensity:
2θ 12.49, d = 7.085 Å, I = 100
2θ 24.37, d = 3.653 Å, I = 35
2θ 29.90, d = 2.988 Å, I = 32
2θ 27.06, d = 3.296 Å, I = 32
2θ 29.59, d = 3.019 Å, I = 23
2θ 25.14, d = 3.542 Å, I = 23

***

No. 7
For Li6Co6O5F11, DFT lattice parameters and positions (PBE+U) gives the simulated XRD peak list in this record (Cu Kα (λ = 1.5418 Å)).

Cell and atoms:
Cell: 6.014 6.044 10.419 Å, 106.38 90.12 119.79°
Space group P1 (No. 1)
One atom of each set of equivalent atoms:
Li: 0.000 0.000 0.000 (multiplicity 1)
Li: 0.002 0.505 0.489 (multiplicity 1)
Li: 0.363 0.684 0.936 (multiplicity 1)
Li: 0.372 0.930 0.688 (multiplicity 1)
Li: 0.751 0.360 0.871 (multiplicity 1)
Li: 0.757 0.871 0.367 (multiplicity 1)
Co: 0.383 0.948 0.181 (multiplicity 1)
Co: 0.394 0.464 0.674 (multiplicity 1)
Co: 0.395 0.418 0.182 (multiplicity 1)
Co: 0.401 0.181 0.410 (multiplicity 1)
Co: 0.839 0.416 0.184 (multiplicity 1)
Co: 0.864 0.929 0.683 (multiplicity 1)
O: 0.157 0.075 0.304 (multiplicity 1)
O: 0.599 0.531 0.306 (multiplicity 1)
O: 0.608 0.775 0.576 (multiplicity 1)
O: 0.614 0.310 0.065 (multiplicity 1)
O: 0.618 0.069 0.307 (multiplicity 1)
F: 0.127 0.790 0.061 (multiplicity 1)
F: 0.130 0.556 0.290 (multiplicity 1)
F: 0.132 0.834 0.563 (multiplicity 1)
F: 0.133 0.332 0.065 (multiplicity 1)
F: 0.135 0.302 0.563 (multiplicity 1)
F: 0.141 0.087 0.789 (multiplicity 1)
F: 0.147 0.560 0.802 (multiplicity 1)
F: 0.596 0.297 0.564 (multiplicity 1)
F: 0.602 0.794 0.061 (multiplicity 1)
F: 0.610 0.557 0.805 (multiplicity 1)
F: 0.618 0.035 0.802 (multiplicity 1)

The 6 most intense peaks (2θ from 10° to 90°), by intensity:
2θ 18.04, d = 4.916 Å, I = 100
2θ 34.80, d = 2.578 Å, I = 61
2θ 42.30, d = 2.137 Å, I = 32
2θ 46.51, d = 1.953 Å, I = 25
2θ 17.24, d = 5.144 Å, I = 25
2θ 55.92, d = 1.644 Å, I = 15

***

No. 8
For Li3Mn4B4O12, DFT lattice parameters and positions (PBE+U) gives the simulated XRD peak list in this record (Cu Kα (λ = 1.5418 Å)).

Cell and atoms:
Cell: 5.265 5.891 8.257 Å, 101.90 90.91 90.16°
Space group P1 (No. 1)
One atom of each set of equivalent atoms:
Li: 0.000 0.000 0.000 (multiplicity 1)
Li: 0.185 0.581 0.950 (multiplicity 1)
Li: 0.684 0.101 0.455 (multiplicity 1)
Mn: 0.024 0.701 0.638 (multiplicity 1)
Mn: 0.175 0.860 0.308 (multiplicity 1)
Mn: 0.523 0.230 0.159 (multiplicity 1)
Mn: 0.656 0.368 0.804 (multiplicity 1)
B: 0.021 0.371 0.317 (multiplicity 1)
B: 0.170 0.195 0.637 (multiplicity 1)
B: 0.520 0.876 0.831 (multiplicity 1)
B: 0.676 0.711 0.133 (multiplicity 1)
O: 0.019 0.019 0.541 (multiplicity 1)
O: 0.050 0.375 0.746 (multiplicity 1)
O: 0.142 0.193 0.206 (multiplicity 1)
O: 0.162 0.558 0.404 (multiplicity 1)
O: 0.261 0.858 0.848 (multiplicity 1)
O: 0.429 0.189 0.620 (multiplicity 1)
O: 0.527 0.525 0.046 (multiplicity 1)
O: 0.554 0.893 0.238 (multiplicity 1)
O: 0.657 0.076 0.913 (multiplicity 1)
O: 0.665 0.692 0.748 (multiplicity 1)
O: 0.767 0.357 0.346 (multiplicity 1)
O: 0.931 0.719 0.105 (multiplicity 1)

The 6 most intense peaks (2θ from 10° to 90°), by intensity:
2θ 20.29, d = 4.377 Å, I = 100
2θ 34.29, d = 2.615 Å, I = 100
2θ 22.81, d = 3.899 Å, I = 79
2θ 22.01, d = 4.039 Å, I = 52
2θ 40.59, d = 2.222 Å, I = 41
2θ 34.06, d = 2.632 Å, I = 37